Th2BiTe2: calculated PXRD pattern (Cu Kα (weighted mean of Kα1 and Kα2)), based on a crystal structure in Alexandria, relaxed with GGA-PBE.

Principal peaks in the range 2θ from 10° to 80°, by angle:
2θ/deg  I (rel.)
19.20  74
27.94  100
28.58  64
29.47  41
35.81  52
37.23  27
38.97  29
43.42  19
44.77  20
45.79  28

Structure:
Cell lengths 4.9754, 16.1957, 19.6258 Å; angles 90.00, 90.00, 90.00 degrees
Space group Fddd (No. 70, origin choice 2)
One atom of each set of equivalent atoms:
Th (0.0000, 0.0000, 0.0000)
Bi (0.1250, 0.1250, 0.1250)
Te (0.1250, 0.1250, 0.4417)

=====

Ge4Te2Br5: calculated PXRD pattern (Cu Kα (weighted mean of Kα1 and Kα2)), based on a crystal structure in Alexandria, relaxed with GGA-PBE.

Principal peaks in the range 2θ from 10° to 80°, by angle:
2θ/deg  I (rel.)
21.71  31
25.37  82
25.85  61
26.55  100
26.65  35
30.11  32
30.68  56
37.96  34
43.02  58
52.24  38

Structure:
Cell lengths 12.2170, 7.3446, 10.0354 Å; angles 90.00, 124.44, 90.00 degrees
Space group C2/m (No. 12)
One atom of each set of equivalent atoms:
Ge (0.1463, 0.0000, 0.3237)
Ge (0.1863, 0.0000, 0.8516)
Te (0.0682, 0.5000, 0.9120)
Br (0.0000, 0.0000, 0.0000)
Br (0.1933, 0.2513, 0.6405)

=====

Cs2NpI5Br: calculated PXRD pattern (Cu Kα (weighted mean of Kα1 and Kα2)), based on a crystal structure in Alexandria, relaxed with GGA-PBE.

Principal peaks in the range 2θ from 10° to 80°, by angle:
2θ/deg  I (rel.)
12.70  55
20.88  23
25.56  100
29.38  91
30.02  43
42.03  34
42.50  66
49.83  32
52.51  35
77.12  23

Structure:
Cell lengths 8.5988, 8.5988, 11.9080 Å; angles 90.00, 90.00, 90.00 degrees
Space group I4mm (No. 107)
One atom of each set of equivalent atoms:
Cs (0.0000, 0.5000, 0.0000)
Np (0.0000, 0.0000, 0.2532)
I (0.0000, 0.0000, 0.0011)
I (0.2478, 0.2478, 0.2499)
Br (0.0000, 0.0000, 0.4843)

=====

Nd2Ho8Tm: calculated PXRD pattern (Cu Kα (weighted mean of Kα1 and Kα2)), based on a crystal structure in Alexandria, relaxed with GGA-PBE.

Principal peaks in the range 2θ from 10° to 80°, by angle:
2θ/deg  I (rel.)
30.86  100
35.78  51
51.50  36
61.26  43
64.30  12
75.78  4
75.90  2

Structure:
Cell lengths 18.1018, 5.0144, 7.9399 Å; angles 90.00, 105.26, 90.00 degrees
Space group C2/m (No. 12)
One atom of each set of equivalent atoms:
Nd (0.2268, 0.0000, 0.1375)
Ho (0.0445, 0.0000, 0.2280)
Ho (0.0895, 0.5000, 0.9528)
Ho (0.1347, 0.0000, 0.6775)
Ho (0.1809, 0.5000, 0.4083)
Tm (0.0000, 0.5000, 0.5000)

=====

HfZrReRh: calculated PXRD pattern (Cu Kα (weighted mean of Kα1 and Kα2)), based on a crystal structure in Alexandria, relaxed with GGA-PBE.

Principal peaks in the range 2θ from 10° to 80°, by angle:
2θ/deg  I (rel.)
13.58  14
30.37  7
38.61  51
38.84  100
41.11  4
50.27  3
55.75  18
56.44  8
70.02  35
70.47  17

Structure:
Cell lengths 3.2979, 3.2979, 6.5213 Å; angles 90.00, 90.00, 90.00 degrees
Space group P4mm (No. 99)
One atom of each set of equivalent atoms:
Hf (0.0000, 0.0000, 0.0000)
Zr (0.0000, 0.0000, 0.4923)
Re (0.5000, 0.5000, 0.2444)
Rh (0.5000, 0.5000, 0.7509)

=====

B2P: calculated PXRD pattern (Cu Kα (weighted mean of Kα1 and Kα2)), based on a crystal structure in Alexandria, relaxed with GGA-PBE.

Principal peaks in the range 2θ from 10° to 80°, by angle:
2θ/deg  I (rel.)
21.18  26
32.10  100
35.74  68
37.75  58
38.88  18
41.91  25
44.59  30
44.78  22
52.75  22
66.91  25

Structure:
Cell lengths 8.7397, 2.9577, 4.9724 Å; angles 90.00, 106.26, 90.00 degrees
Space group Cm (No. 8)
One atom of each set of equivalent atoms:
B (0.0000, 0.0000, 0.0000)
B (0.0154, 0.0000, 0.3600)
B (0.0766, 0.5000, 0.2013)
B (0.3062, 0.5000, 0.7928)
P (0.1588, 0.0000, 0.7676)
P (0.3034, 0.5000, 0.4095)

=====

U2F9: calculated PXRD pattern (Cu Kα (weighted mean of Kα1 and Kα2)), based on a crystal structure in Alexandria, relaxed with GGA-PBE.

Principal peaks in the range 2θ from 10° to 80°, by angle:
2θ/deg  I (rel.)
14.69  15
20.84  66
25.59  100
29.63  17
45.11  93
50.18  23
54.91  15
63.63  20
65.71  15
67.74  22

Structure:
Cell lengths 8.5266, 8.5266, 8.5266 Å; angles 90.00, 90.00, 90.00 degrees
Space group I-43m (No. 217)
One atom of each set of equivalent atoms:
U (0.1871, 0.1871, 0.8129)
F (0.0000, 0.0000, 0.2273)
F (0.0611, 0.2944, 0.2944)

=====

YTh3P4: calculated PXRD pattern (Cu Kα (weighted mean of Kα1 and Kα2)), based on a crystal structure in Alexandria, relaxed with GGA-PBE.

Principal peaks in the range 2θ from 10° to 80°, by angle:
2θ/deg  I (rel.)
15.22  11
21.59  10
26.52  98
30.71  100
43.99  75
52.10  50
54.61  26
63.96  12
70.50  20
72.62  34

Structure:
Cell lengths 5.8221, 5.8221, 5.8221 Å; angles 90.00, 90.00, 90.00 degrees
Space group Pm-3m (No. 221)
One atom of each set of equivalent atoms:
Y (0.0000, 0.0000, 0.0000)
Th (0.0000, 0.5000, 0.5000)
P (0.0000, 0.0000, 0.5000)
P (0.5000, 0.5000, 0.5000)

=====

CsMn2MoRh: calculated PXRD pattern (Cu Kα (weighted mean of Kα1 and Kα2)), based on a crystal structure in Alexandria, relaxed with GGA-PBE.

Principal peaks in the range 2θ from 10° to 80°, by angle:
2θ/deg  I (rel.)
18.67  45
26.02  52
26.52  64
32.22  55
36.39  56
37.85  100
45.59  29
53.52  71
54.61  33
67.41  35

Structure:
Cell lengths 4.7534, 4.7534, 4.9375 Å; angles 90.00, 90.00, 90.00 degrees
Space group P4/mmm (No. 123)
One atom of each set of equivalent atoms:
Cs (0.0000, 0.0000, 0.0000)
Mn (0.0000, 0.5000, 0.0000)
Mo (0.0000, 0.0000, 0.5000)
Rh (0.5000, 0.5000, 0.5000)

=====

Ac8IrPb3: calculated PXRD pattern (Cu Kα (weighted mean of Kα1 and Kα2)), based on a crystal structure in Alexandria, relaxed with GGA-PBE.

Principal peaks in the range 2θ from 10° to 80°, by angle:
2θ/deg  I (rel.)
19.48  23
22.53  16
32.07  100
37.80  13
45.89  6
46.04  12
50.39  6
57.17  36
67.03  7
76.38  10

Structure:
Cell lengths 7.8852, 7.8852, 15.8205 Å; angles 90.00, 90.00, 90.00 degrees
Space group I4/mmm (No. 139)
One atom of each set of equivalent atoms:
Ac (0.2351, 0.2351, 0.1168)
Ir (0.0000, 0.0000, 0.0000)
Pb (0.0000, 0.0000, 0.5000)
Pb (0.0000, 0.5000, 0.2500)

=====

La4Sm5Tl2: calculated PXRD pattern (Cu Kα (weighted mean of Kα1 and Kα2)), based on a crystal structure in Alexandria, relaxed with GGA-PBE.

Principal peaks in the range 2θ from 10° to 80°, by angle:
2θ/deg  I (rel.)
28.42  32
29.67  100
30.27  42
31.85  31
33.25  28
35.39  63
37.17  40
49.88  52
54.49  24
59.47  37

Structure:
Cell lengths 3.6563, 3.6563, 97.4391 Å; angles 90.00, 90.00, 120.00 degrees
Space group R-3m (No. 166, hexagonal axes)
One atom of each set of equivalent atoms:
La (0.0000, 0.0000, 0.0843)
La (0.0000, 0.0000, 0.1837)
Sm (0.0000, 0.0000, 0.0000)
Sm (0.0000, 0.0000, 0.1200)
Sm (0.0000, 0.0000, 0.3033)
Tl (0.0000, 0.0000, 0.3901)